Diffraction record for Sm2HfS5. The powder XRD pattern is computed, not measured: it uses a structure optimized by DFT (GGA-PBE) and Cu Kα (λ = 1.5418 Å).

Principal peaks in the range 2θ = 10–90°, in order of rising 2θ:
hkl 0 0 2, 2θ = 24.24°, rel. 482
hkl 3 0 1, 2θ = 25.93°, rel. 1000
hkl 1 2 1, 2θ = 26.79°, rel. 715
hkl 2 2 0, 2θ = 27.32°, rel. 605
hkl 3 2 1, 2θ = 34.64°, rel. 228
hkl 2 2 2, 2θ = 36.84°, rel. 647
hkl 4 2 0, 2θ = 38.40°, rel. 262
hkl 0 4 0, 2θ = 46.07°, rel. 273
hkl 5 2 1, 2θ = 46.92°, rel. 458
hkl 3 4 1, 2θ = 53.60°, rel. 376

Cell and atoms:
Lattice parameters (Å, degrees): 11.6649 7.8801 7.3439 90.00 90.00 90.00
Atoms (fractional coordinates):
1 Sm 0.1776 0.0020 0.0259
2 Sm 0.1776 0.4980 0.0259
3 Sm 0.3224 0.5020 0.5259
4 Sm 0.3224 0.9980 0.5259
5 Sm 0.6776 0.0020 0.4741
6 Sm 0.6776 0.4980 0.4741
7 Sm 0.8224 0.5020 0.9741
8 Sm 0.8224 0.9980 0.9741
9 Hf 0.0063 0.7500 0.5749
10 Hf 0.4937 0.2500 0.0749
11 Hf 0.5063 0.7500 0.9251
12 Hf 0.9937 0.2500 0.4251
13 S 0.0044 0.7500 0.9432
14 S 0.0901 0.0354 0.6599
15 S 0.0901 0.4646 0.6599
16 S 0.1804 0.7500 0.3360
17 S 0.2055 0.2500 0.3143
18 S 0.2945 0.7500 0.8143
19 S 0.3196 0.2500 0.8360
20 S 0.4099 0.5354 0.1599
21 S 0.4099 0.9646 0.1599
22 S 0.4956 0.2500 0.4432
23 S 0.5044 0.7500 0.5568
24 S 0.5901 0.0354 0.8401
25 S 0.5901 0.4646 0.8401
26 S 0.6804 0.7500 0.1640
27 S 0.7055 0.2500 0.1857
28 S 0.7945 0.7500 0.6857
29 S 0.8196 0.2500 0.6640
30 S 0.9099 0.5354 0.3401
31 S 0.9099 0.9646 0.3401
32 S 0.9956 0.2500 0.0568